Computed powder diffractogram
Compound: B7C5
Radiation: Cu Ka
Structure: a crystal structure in Alexandria, relaxed with PBE
Neutral-atom scattering factors, no anomalous dispersion.

Largest 12 diffraction maxima, in order of rising 2θ, 15° ≤ 2θ ≤ 90°:
2θ/deg  I_rel
23.41  100
24.01  16
30.55  9
40.03  50
40.83  100
42.23  26
63.59  12
65.71  15
68.84  22
74.12  15
74.77  12
78.14  10

Structural model:
Unit cell a=4.4690 b=4.4690 c=8.7897 alpha=116.20 beta=116.20 gamma=33.27
Fractional coordinates of all 12 atoms:
B (0.0000, 0.0000, 0.0000)
B (0.0011, 0.0011, 0.4836)
B (0.2323, 0.2323, 0.5692)
B (0.2833, 0.2833, 0.0876)
B (0.4338, 0.4338, 0.5833)
B (0.6585, 0.6585, 0.6570)
B (0.7745, 0.7745, 0.2330)
C (0.0954, 0.0954, 0.3611)
C (0.0981, 0.0981, 0.8875)
C (0.4633, 0.4633, 0.0771)
C (0.5978, 0.5978, 0.7988)
C (0.6103, 0.6103, 0.2754)

=====

Computed powder diffractogram
Compound: Ge3IrPt
Radiation: Cu Ka
Structure: a crystal structure in Alexandria, relaxed with PBE
Neutral-atom scattering factors, no anomalous dispersion.

Largest 12 diffraction maxima, in order of rising 2θ, 15° ≤ 2θ ≤ 90°:
2θ/deg  I_rel
23.87  36
28.43  69
30.02  18
32.82  18
36.60  17
40.81  100
41.00  50
45.67  44
45.98  35
48.24  20
54.94  23
75.32  25

Structural model:
Unit cell a=7.0829 b=7.0829 c=3.9479 alpha=106.08 beta=106.08 gamma=64.36
Fractional coordinates of all 10 atoms:
Ge (0.1258, 0.1258, 0.1267)
Ge (0.1456, 0.5609, 0.3534)
Ge (0.4391, 0.8544, 0.6466)
Ge (0.5609, 0.1456, 0.3534)
Ge (0.8544, 0.4391, 0.6466)
Ge (0.8742, 0.8742, 0.8733)
Ir (0.2757, 0.2757, 0.7753)
Ir (0.7243, 0.7243, 0.2247)
Pt (0.2893, 0.7107, 0.0000)
Pt (0.7107, 0.2893, 0.0000)